This entry pairs a crystal structure of Er3MgAs4 with its simulated powder diffraction line list. Radiation: copper Kα. Structure: the GGA-PBE geometry in Alexandria.

Most intense lines, 2θ = 10–80°, in order of falling intensity:
| hkl | 2θ (°) | d (Å) | intensity |
| --- | --- | --- | --- |
| 2 0 0 | 31.12 | 2.874 | 100 |
| 2 2 0 | 44.59 | 2.032 | 74 |
| 4 2 0 | 73.71 | 1.285 | 33 |
| 2 2 2 | 55.37 | 1.659 | 26 |
| 1 0 0 | 15.42 | 5.748 | 15 |
| 1 1 0 | 21.87 | 4.064 | 13 |

Cell and atoms:
Unit cell a=5.748 b=5.748 c=5.748 alpha=90.00 beta=90.00 gamma=90.00
Space group Pm-3m (No. 221)
Symmetry-distinct sites (fractional):
Er: 0.000 0.000 0.500 (multiplicity 3)
Mg: 0.500 0.500 0.500 (multiplicity 1)
As: 0.000 0.000 0.000 (multiplicity 1)
As: 0.000 0.500 0.500 (multiplicity 3)